# EuGdRh
Calculated PXRD pattern, Cu Kα X-rays. Input: DFT lattice parameters and positions (PBE).
No peak broadening, texture or thermal motion is included.

Main lines, in order of rising 2θ (10° ≤ 2θ ≤ 80°):
two_theta  intensity
22.25  16
25.74  30
36.73  100
43.36  8
45.39  9
52.92  17
58.09  3
59.75  12
66.14  35
78.11  11

Crystal structure
abc: 4.894 4.894 4.894
angles: 60.00 60.00 60.00
Positions (direct):
Eu (0.000, 0.000, 0.000)
Gd (0.500, 0.500, 0.500)
Rh (0.750, 0.750, 0.750)